No. 1
Theoretical X-ray diffraction stick pattern of Tm3ScBi for a wavelength of 1.5418 Å, from a cell relaxed with GGA-PBE.

Structural model:
Cell lengths 11.166, 8.175, 6.692 Å; angles 90.00, 90.00, 90.00 degrees
Space group Ima2 (No. 46)
Symmetry-distinct sites (fractional):
Tm (0.023, 0.249, 0.000) x8
Tm (0.250, 0.068, 0.249) x4
Sc (0.250, 0.750, 0.498) x4
Bi (0.250, 0.053, 0.748) x4

The 10 most intense peaks (2θ = 10–90°), most intense first:
- 27.04°, d 3.298, I 100.0
- 31.16°, d 2.870, I 98.1
- 34.65°, d 2.589, I 74.8
- 32.06°, d 2.792, I 53.0
- 47.92°, d 1.898, I 50.9
- 13.42°, d 6.596, I 30.9
- 41.05°, d 2.199, I 29.7
- 37.79°, d 2.381, I 28.5
- 43.60°, d 2.076, I 21.6
- 33.86°, d 2.647, I 20.6


No. 2
Theoretical X-ray diffraction stick pattern of Zr2GaHW for a wavelength of 1.5418 Å, from a cell relaxed with GGA-PBE.

Structural model:
Cell lengths 4.606, 4.606, 3.697 Å; angles 90.00, 90.00, 90.00 degrees
Space group P4/mmm (No. 123)
Symmetry-distinct sites (fractional):
Zr (0.000, 0.500, 0.000) x2
Ga (0.000, 0.000, 0.500) x1
H (0.500, 0.500, 0.000) x1
W (0.500, 0.500, 0.500) x1

The 10 most intense peaks (2θ = 10–90°), most intense first:
- 36.78°, d 2.444, I 100.0
- 39.11°, d 2.303, I 42.6
- 69.34°, d 1.355, I 30.5
- 64.66°, d 1.442, I 19.0
- 19.27°, d 4.606, I 15.3
- 56.51°, d 1.628, I 14.4
- 83.99°, d 1.152, I 13.7
- 78.24°, d 1.222, I 10.9
- 49.30°, d 1.848, I 10.9
- 31.02°, d 2.883, I 9.0


No. 3
Theoretical X-ray diffraction stick pattern of Nd12CoSb6 for a wavelength of 1.5418 Å, from a cell relaxed with GGA-PBE.

Structural model:
Cell lengths 13.4048, 13.4048, 12.5477 Å; angles 90.00, 90.00, 120.00 degrees
Space group R-3 (No. 148, hexagonal axes)
Symmetry-distinct sites (fractional):
Nd (0.0310, 0.8340, 0.3902) x18
Nd (0.0638, 0.8708, 0.8825) x18
Co (0.0000, 0.0000, 0.0000) x3
Sb (0.0474, 0.7638, 0.6412) x18

The 10 most intense peaks (2θ = 10–90°), most intense first:
- 31.22°, d 2.865, I 100.0
- 35.17°, d 2.552, I 78.3
- 29.50°, d 3.028, I 59.9
- 35.43°, d 2.533, I 57.4
- 21.45°, d 4.142, I 49.2
- 36.66°, d 2.452, I 48.0
- 24.76°, d 3.596, I 36.6
- 28.62°, d 3.119, I 26.2
- 26.60°, d 3.351, I 25.0
- 34.04°, d 2.634, I 23.7


No. 4
Theoretical X-ray diffraction stick pattern of La2Sm5Y for a wavelength of 1.5418 Å, from a cell relaxed with GGA-PBE.

Structural model:
Cell lengths 5.729, 12.030, 16.360 Å; angles 90.00, 90.00, 90.00 degrees
Space group Cmcm (No. 63)
Symmetry-distinct sites (fractional):
La (0.000, 0.219, 0.129) x8
Sm (0.000, 0.078, 0.590) x8
Sm (0.000, 0.383, 0.551) x8
Sm (0.000, 0.462, 0.250) x4
Y (0.000, 0.259, 0.750) x4

The 10 most intense peaks (2θ = 10–90°), most intense first:
- 31.80°, d 2.814, I 100.0
- 31.23°, d 2.864, I 47.0
- 27.81°, d 3.208, I 38.9
- 32.38°, d 2.765, I 35.9
- 55.92°, d 1.644, I 25.8
- 31.70°, d 2.823, I 16.0
- 30.21°, d 2.958, I 13.9
- 45.09°, d 2.011, I 12.1
- 29.30°, d 3.049, I 12.0
- 32.85°, d 2.727, I 11.6


No. 5
Theoretical X-ray diffraction stick pattern of Ce6NdTe8 for a wavelength of 1.5418 Å, from a cell relaxed with GGA-PBE.

Structural model:
Cell lengths 12.671, 12.671, 12.671 Å; angles 90.00, 90.00, 90.00 degrees
Space group Fm-3m (No. 225)
Symmetry-distinct sites (fractional):
Ce (0.000, 0.250, 0.250) x24
Nd (0.000, 0.000, 0.000) x4
Te (0.000, 0.000, 0.255) x24
Te (0.250, 0.250, 0.250) x8

The 10 most intense peaks (2θ = 10–90°), most intense first:
- 28.17°, d 3.168, I 100.0
- 40.26°, d 2.240, I 76.1
- 65.94°, d 1.417, I 34.9
- 49.86°, d 1.829, I 27.2
- 73.19°, d 1.293, I 25.6
- 58.25°, d 1.584, I 12.8
- 87.00°, d 1.120, I 8.3
- 23.28°, d 3.820, I 3.8
- 12.10°, d 7.316, I 3.6
- 30.76°, d 2.907, I 2.7


No. 6
Theoretical X-ray diffraction stick pattern of Pm2Ga9Co3 for a wavelength of 1.5418 Å, from a cell relaxed with GGA-PBE.

Structural model:
Cell lengths 12.898, 7.418, 10.486 Å; angles 90.00, 114.42, 90.00 degrees
Space group C2/c (No. 15)
Symmetry-distinct sites (fractional):
Pm (0.168, 0.083, 0.250) x8
Ga (0.000, 0.370, 0.250) x4
Ga (0.060, 0.084, 0.930) x8
Ga (0.101, 0.416, 0.054) x8
Ga (0.105, 0.313, 0.749) x8
Ga (0.225, 0.418, 0.430) x8
Co (0.085, 0.245, 0.501) x8
Co (0.250, 0.250, 0.000) x4

The 10 most intense peaks (2θ = 10–90°), most intense first:
- 37.24°, d 2.415, I 100.0
- 42.16°, d 2.143, I 69.8
- 37.12°, d 2.422, I 52.8
- 42.03°, d 2.150, I 34.7
- 37.68°, d 2.387, I 29.1
- 37.50°, d 2.398, I 17.1
- 25.73°, d 3.463, I 16.8
- 73.76°, d 1.285, I 16.8
- 73.86°, d 1.283, I 16.3
- 45.10°, d 2.010, I 13.0


No. 7
Theoretical X-ray diffraction stick pattern of K2In2As2O for a wavelength of 1.5418 Å, from a cell relaxed with GGA-PBE.

Structural model:
Cell lengths 12.323, 3.838, 8.039 Å; angles 90.00, 110.08, 90.00 degrees
Space group C2/m (No. 12)
Symmetry-distinct sites (fractional):
K (0.008, 0.000, 0.240) x4
In (0.188, 0.500, 0.613) x4
As (0.222, 0.500, 0.090) x4
O (0.000, 0.500, 0.500) x2

The 10 most intense peaks (2θ = 10–90°), most intense first:
- 32.25°, d 2.776, I 100.0
- 15.31°, d 5.787, I 58.5
- 32.92°, d 2.721, I 52.9
- 32.46°, d 2.758, I 28.2
- 31.86°, d 2.809, I 25.2
- 45.58°, d 1.990, I 17.5
- 36.06°, d 2.490, I 17.2
- 47.38°, d 1.919, I 17.0
- 45.12°, d 2.010, I 15.8
- 25.98°, d 3.429, I 12.9


No. 8
Theoretical X-ray diffraction stick pattern of Ac4Se5F2 for a wavelength of 1.5418 Å, from a cell relaxed with GGA-PBE.

Structural model:
Cell lengths 18.043, 4.522, 8.478 Å; angles 90.00, 101.35, 90.00 degrees
Space group C2/m (No. 12)
Symmetry-distinct sites (fractional):
Ac (0.014, 0.000, 0.256) x4
Ac (0.213, 0.500, 0.227) x4
Se (0.000, 0.500, 0.500) x2
Se (0.149, 0.000, 0.968) x4
Se (0.172, 0.000, 0.442) x4
F (0.060, 0.500, 0.170) x4

The 10 most intense peaks (2θ = 10–90°), most intense first:
- 30.91°, d 2.893, I 100.0
- 34.94°, d 2.568, I 87.4
- 20.08°, d 4.423, I 47.0
- 39.87°, d 2.261, I 45.9
- 40.91°, d 2.206, I 44.4
- 16.01°, d 5.538, I 44.2
- 20.27°, d 4.381, I 43.8
- 25.84°, d 3.448, I 40.1
- 23.41°, d 3.800, I 37.8
- 26.38°, d 3.379, I 37.0


No. 9
Theoretical X-ray diffraction stick pattern of K2SbS3 for a wavelength of 1.5418 Å, from a cell relaxed with GGA-PBE.

Structural model:
Cell lengths 7.961, 13.647, 15.409 Å; angles 90.00, 90.00, 90.00 degrees
Space group Cmce (No. 64)
Symmetry-distinct sites (fractional):
K (0.000, 0.040, 0.156) x8
K (0.000, 0.141, 0.575) x8
Sb (0.000, 0.243, 0.844) x8
S (0.000, 0.086, 0.366) x8
S (0.000, 0.154, 0.976) x8
S (0.250, 0.194, 0.750) x8

The 10 most intense peaks (2θ = 10–90°), most intense first:
- 17.29°, d 5.129, I 100.0
- 22.34°, d 3.980, I 70.8
- 12.97°, d 6.824, I 55.8
- 25.34°, d 3.515, I 48.2
- 26.53°, d 3.360, I 33.0
- 32.34°, d 2.768, I 25.7
- 41.86°, d 2.158, I 22.7
- 26.76°, d 3.331, I 20.4
- 45.58°, d 1.990, I 17.5
- 31.85°, d 2.810, I 17.1


No. 10
Theoretical X-ray diffraction stick pattern of K4NdNp3O12 for a wavelength of 1.5418 Å, from a cell relaxed with GGA-PBE.

Structural model:
Cell lengths 8.677, 8.677, 8.677 Å; angles 90.00, 90.00, 90.00 degrees
Space group Im-3m (No. 229)
Symmetry-distinct sites (fractional):
K (0.250, 0.250, 0.250) x8
Nd (0.000, 0.000, 0.000) x2
Np (0.000, 0.000, 0.500) x6
O (0.000, 0.000, 0.270) x12
O (0.000, 0.250, 0.500) x12

The 10 most intense peaks (2θ = 10–90°), most intense first:
- 29.11°, d 3.068, I 100.0
- 20.47°, d 4.338, I 73.2
- 51.61°, d 1.771, I 41.5
- 46.83°, d 1.940, I 35.0
- 41.64°, d 2.169, I 30.7
- 83.35°, d 1.159, I 21.9
- 60.35°, d 1.534, I 19.4
- 68.38°, d 1.372, I 18.5
- 64.43°, d 1.446, I 17.2
- 35.85°, d 2.505, I 10.2


No. 11
Theoretical X-ray diffraction stick pattern of Na3CdSb2 for a wavelength of 1.5418 Å, from a cell relaxed with GGA-PBE.

Structural model:
Cell lengths 7.276, 14.209, 7.989 Å; angles 90.00, 90.00, 90.00 degrees
Space group Ibam (No. 72)
Symmetry-distinct sites (fractional):
Na (0.000, 0.000, 0.250) x4
Na (0.000, 0.267, 0.250) x8
Cd (0.000, 0.500, 0.000) x4
Sb (0.226, 0.131, 0.000) x8

The 10 most intense peaks (2θ = 10–90°), most intense first:
- 20.71°, d 4.289, I 100.0
- 35.31°, d 2.542, I 38.3
- 22.25°, d 3.995, I 29.5
- 38.15°, d 2.359, I 20.7
- 42.14°, d 2.144, I 20.5
- 31.78°, d 2.816, I 20.3
- 40.91°, d 2.206, I 19.4
- 58.80°, d 1.570, I 16.6
- 41.67°, d 2.167, I 15.3
- 33.80°, d 2.652, I 14.2


No. 12
Theoretical X-ray diffraction stick pattern of Tl6In16Hg7 for a wavelength of 1.5418 Å, from a cell relaxed with GGA-PBE.

Structural model:
Cell lengths 17.231, 9.917, 11.206 Å; angles 90.00, 120.52, 90.00 degrees
Space group C2/m (No. 12)
Symmetry-distinct sites (fractional):
Tl (0.010, 0.196, 0.333) x8
Tl (0.181, 0.000, 0.660) x4
In (0.115, 0.500, 0.342) x4
In (0.118, 0.500, 0.877) x4
In (0.121, 0.261, 0.123) x8
In (0.142, 0.000, 0.924) x4
In (0.163, 0.000, 0.321) x4
In (0.170, 0.334, 0.678) x8
Hg (0.000, 0.000, 0.000) x2
Hg (0.000, 0.500, 0.000) x2
Hg (0.000, 0.500, 0.500) x2
Hg (0.250, 0.250, 0.000) x4
Hg (0.250, 0.250, 0.500) x4

The 10 most intense peaks (2θ = 10–90°), most intense first:
- 36.17°, d 2.483, I 100.0
- 32.29°, d 2.772, I 76.3
- 32.59°, d 2.748, I 69.1
- 32.40°, d 2.763, I 42.3
- 30.04°, d 2.975, I 38.1
- 30.16°, d 2.963, I 24.8
- 27.72°, d 3.218, I 24.2
- 37.49°, d 2.399, I 23.8
- 49.36°, d 1.846, I 23.7
- 25.80°, d 3.453, I 21.5